[1]
This entry pairs a crystal structure of Be4Hg with its simulated powder X-ray diffraction pattern. Radiation: Cu Kα X-rays. Structure: a PBE-relaxed structure.
Neutral-atom scattering factors, no anomalous dispersion.

Cell and atoms:
```
data_Be4Hg
_cell_length_a 5.3428
_cell_length_b 5.3428
_cell_length_c 5.3428
_cell_angle_alpha 90.00
_cell_angle_beta 90.00
_cell_angle_gamma 90.00
_symmetry_space_group_name_H-M 'I m -3 m'
_symmetry_Int_Tables_number 229
_symmetry_space_group_name_Hall '-I 4 2 3'
loop_
_atom_site_label
_atom_site_fract_x
_atom_site_fract_y
_atom_site_fract_z
_atom_site_occupancy
Be1 0.2500 0.2500 0.2500 1
Hg1 0.0000 0.0000 0.0000 1
```

Main lines, low angle first (10 to 80 degrees two-theta):
2theta, d [Å], intensity, (hkl)
23.55, 3.778, 100, 1 1 0
33.55, 2.671, 16, 2 0 0
41.40, 2.181, 47, 2 1 1
48.17, 1.889, 19, 2 2 0
54.30, 1.690, 22, 3 1 0
59.98, 1.542, 4, 2 2 2
65.35, 1.428, 25, 3 2 1
70.50, 1.336, 3, 4 0 0
75.49, 1.259, 13, 4 1 1

[2]
This entry pairs a crystal structure of SrAcFeN2 with its simulated powder X-ray diffraction pattern. Radiation: Cu Kα X-rays. Structure: a PBE-relaxed structure.
Neutral-atom scattering factors, no anomalous dispersion.

Cell and atoms:
```
data_SrAcFeN2
_cell_length_a 5.4378
_cell_length_b 5.6816
_cell_length_c 7.1799
_cell_angle_alpha 90.00
_cell_angle_beta 90.00
_cell_angle_gamma 90.00
_symmetry_space_group_name_H-M 'P c c m'
_symmetry_Int_Tables_number 49
loop_
_symmetry_equiv_pos_as_xyz
'x,y,z'
'-x,-y,-z'
'-x,-y,z'
'x,y,-z'
'x,-y,-z+1/2'
'-x,y,z+1/2'
'-x,y,-z+1/2'
'x,-y,z+1/2'
loop_
_atom_site_label
_atom_site_fract_x
_atom_site_fract_y
_atom_site_fract_z
_atom_site_occupancy
Sr1 0.0000 0.0000 0.2500 1
Ac1 0.5000 0.5000 0.2500 1
Fe1 0.5000 0.0000 0.0000 1
N1 0.2791 0.2446 0.0000 1
```

Main lines, low angle first (10 to 80 degrees two-theta):
2theta, d [Å], intensity, (hkl)
16.30, 5.438, 42, 1 0 0
22.63, 3.928, 62, 1 1 0
24.80, 3.590, 19, 0 0 2
29.43, 3.035, 19, 0 1 2
31.49, 2.841, 26, 0 2 0
32.94, 2.719, 23, 2 0 0
33.82, 2.650, 100, 1 1 2
40.49, 2.228, 17, 0 2 2
41.67, 2.167, 16, 2 0 2
46.22, 1.964, 23, 2 2 0
57.58, 1.601, 22, 1 3 2
59.39, 1.556, 20, 3 1 2

[3]
This entry pairs a crystal structure of Ca2Ga3Ag5 with its simulated powder X-ray diffraction pattern. Radiation: Cu Kα X-rays. Structure: a PBE-relaxed structure.
Neutral-atom scattering factors, no anomalous dispersion.

Cell and atoms:
```
data_Ca2Ga3Ag5
_cell_length_a 4.5945
_cell_length_b 24.8476
_cell_length_c 7.1598
_cell_angle_alpha 90.00
_cell_angle_beta 90.00
_cell_angle_gamma 90.00
_symmetry_space_group_name_H-M 'C m c 21'
_symmetry_Int_Tables_number 36
loop_
_symmetry_equiv_pos_as_xyz
'x,y,z'
'-x,-y,z+1/2'
'-x,y,z'
'x,-y,z+1/2'
'x+1/2,y+1/2,z'
'-x+1/2,-y+1/2,z+1/2'
'-x+1/2,y+1/2,z'
'x+1/2,-y+1/2,z+1/2'
loop_
_atom_site_label
_atom_site_fract_x
_atom_site_fract_y
_atom_site_fract_z
_atom_site_occupancy
Ca1 0.0000 0.0202 0.0000 1
Ca2 0.0000 0.3239 0.0665 1
Ga1 0.0000 0.1182 0.2723 1
Ga2 0.0000 0.2780 0.6357 1
Ga3 0.0000 0.4525 0.2031 1
Ag1 0.0000 0.1007 0.6729 1
Ag2 0.0000 0.1976 0.9131 1
Ag3 0.0000 0.2233 0.3260 1
Ag4 0.0000 0.3784 0.4852 1
Ag5 0.0000 0.4426 0.8200 1
```

Main lines, low angle first (10 to 80 degrees two-theta):
2theta, d [Å], intensity, (hkl)
18.91, 4.692, 24, 0 4 1
33.08, 2.708, 19, 0 6 2
33.53, 2.673, 70, 1 3 2
34.29, 2.615, 90, 1 7 1
36.60, 2.455, 100, 1 5 2
38.02, 2.366, 32, 1 9 0
38.39, 2.345, 57, 0 2 3
39.22, 2.297, 86, 2 0 0
40.13, 2.247, 20, 1 9 1
44.14, 2.052, 18, 1 3 3
45.97, 1.974, 38, 1 9 2
56.04, 1.641, 36, 2 2 3